No. 1
K2RbMnF6: calculated powder diffraction line list (Cu Kα X-rays), based on a crystal structure in the Materials Project, relaxed with GGA+U.
Kinematic intensities with the Lorentz-polarization factor, no thermal factor.

Largest 10 diffraction maxima, by intensity, 10 to 90 degrees two-theta:
2θ = 27.57°, d 3.235, intensity 100
2θ = 39.38°, d 2.288, intensity 53
2θ = 19.40°, d 4.576, intensity 35
2θ = 48.75°, d 1.868, intensity 33
2θ = 56.92°, d 1.618, intensity 28
2θ = 64.39°, d 1.447, intensity 20
2θ = 78.16°, d 1.223, intensity 20
2θ = 44.26°, d 2.046, intensity 12
2θ = 71.41°, d 1.321, intensity 8
2θ = 43.09°, d 2.099, intensity 8

Cell and atoms:
```
K2RbMnF6
1.0
0.000 4.576 4.576
4.576 0.000 4.576
4.576 4.576 0.000
K Rb Mn F
2 1 1 6
Cartesian
2.288 2.288 2.288
6.863 6.863 6.863
0.000 0.000 0.000
4.576 4.576 4.576
4.576 4.576 2.621
4.576 2.621 4.576
6.530 4.576 4.576
2.621 4.576 4.576
4.576 6.530 4.576
4.576 4.576 6.530
```

No. 2
K2RbMn2F7: calculated powder diffraction line list (Cu Kα X-rays), based on a crystal structure in the Materials Project, relaxed with GGA+U.
Kinematic intensities with the Lorentz-polarization factor, no thermal factor.

Largest 10 diffraction maxima, by intensity, 10 to 90 degrees two-theta:
2θ = 29.10°, d 3.069, intensity 100
2θ = 29.49°, d 3.029, intensity 72
2θ = 42.19°, d 2.142, intensity 65
2θ = 52.07°, d 1.756, intensity 37
2θ = 60.32°, d 1.534, intensity 34
2θ = 41.03°, d 2.200, intensity 31
2θ = 38.56°, d 2.335, intensity 25
2θ = 51.34°, d 1.780, intensity 22
2θ = 61.20°, d 1.514, intensity 19
2θ = 76.35°, d 1.247, intensity 15

Cell and atoms:
```
K2RbMn2F7
1.0
-2.142 2.142 10.998
2.142 -2.142 10.998
2.142 2.142 -10.998
K Rb Mn F
2 1 2 7
Cartesian
0.000 0.000 4.096
0.000 0.000 17.900
0.000 0.000 0.000
0.000 0.000 8.816
0.000 0.000 13.179
2.142 0.000 2.172
0.000 0.000 6.701
2.142 0.000 8.826
0.000 0.000 10.998
0.000 2.142 2.172
0.000 0.000 15.294
0.000 2.142 8.826
```

No. 3
K3RbMn2F12: calculated powder diffraction line list (Cu Kα X-rays), based on a crystal structure in the Materials Project, relaxed with GGA+U.
Kinematic intensities with the Lorentz-polarization factor, no thermal factor.

Largest 10 diffraction maxima, by intensity, 10 to 90 degrees two-theta:
2θ = 18.16°, d 4.886, intensity 100
2θ = 29.86°, d 2.992, intensity 97
2θ = 42.74°, d 2.116, intensity 74
2θ = 36.79°, d 2.443, intensity 55
2θ = 62.03°, d 1.496, intensity 38
2θ = 53.01°, d 1.728, intensity 30
2θ = 35.17°, d 2.552, intensity 23
2θ = 85.95°, d 1.131, intensity 20
2θ = 70.35°, d 1.338, intensity 20
2θ = 56.50°, d 1.629, intensity 19

Cell and atoms:
```
K3RbMn2F12
1.0
5.985 0.000 0.000
0.000 5.985 0.000
0.000 0.000 8.461
K Rb Mn F
3 1 2 12
Cartesian
0.000 0.000 0.000
0.000 0.000 4.231
2.993 2.993 0.000
2.993 2.993 4.231
0.000 2.993 2.107
2.993 0.000 6.354
0.000 2.993 0.262
0.000 2.993 3.953
1.298 1.681 2.102
1.298 4.305 2.102
1.681 1.298 6.359
1.681 4.688 6.359
2.993 0.000 4.508
2.993 0.000 8.199
4.305 1.298 6.359
4.305 4.688 6.359
4.688 1.681 2.102
4.688 4.305 2.102
```

No. 4
KRb2MnF6: calculated powder diffraction line list (Cu Kα X-rays), based on a crystal structure in the Materials Project, relaxed with GGA+U.
Kinematic intensities with the Lorentz-polarization factor, no thermal factor.

Largest 10 diffraction maxima, by intensity, 10 to 90 degrees two-theta:
2θ = 27.96°, d 3.191, intensity 100
2θ = 39.95°, d 2.257, intensity 46
2θ = 49.47°, d 1.843, intensity 36
2θ = 57.78°, d 1.596, intensity 26
2θ = 34.42°, d 2.606, intensity 23
2θ = 79.45°, d 1.206, intensity 21
2θ = 65.39°, d 1.427, intensity 20
2θ = 72.55°, d 1.303, intensity 8
2θ = 17.01°, d 5.212, intensity 7
2θ = 69.01°, d 1.361, intensity 6

Cell and atoms:
```
KRb2MnF6
1.0
0.000 4.513 4.513
4.513 0.000 4.513
4.513 4.513 0.000
K Rb Mn F
1 2 1 6
Cartesian
0.000 0.000 0.000
2.257 2.257 2.257
6.770 6.770 6.770
4.513 4.513 4.513
4.513 4.513 2.552
4.513 2.552 4.513
6.475 4.513 4.513
2.552 4.513 4.513
4.513 6.475 4.513
4.513 4.513 6.475
```

No. 5
K3MoF6: calculated powder diffraction line list (Cu Kα X-rays), based on a crystal structure in the Materials Project, relaxed with GGA+U.
Kinematic intensities with the Lorentz-polarization factor, no thermal factor.

Largest 10 diffraction maxima, by intensity, 10 to 90 degrees two-theta:
2θ = 27.42°, d 3.253, intensity 100
2θ = 39.16°, d 2.300, intensity 60
2θ = 48.46°, d 1.878, intensity 36
2θ = 16.69°, d 5.313, intensity 35
2θ = 19.29°, d 4.601, intensity 34
2θ = 56.58°, d 1.627, intensity 34
2θ = 77.65°, d 1.230, intensity 19
2θ = 63.99°, d 1.455, intensity 18
2θ = 44.01°, d 2.058, intensity 13
2θ = 32.27°, d 2.774, intensity 10

Cell and atoms:
```
K3MoF6
1.0
0.000 4.601 4.601
4.601 0.000 4.601
4.601 4.601 0.000
K Mo F
3 1 6
Cartesian
0.000 0.000 0.000
2.300 2.300 2.300
6.901 6.901 6.901
4.601 4.601 4.601
4.601 4.601 2.507
4.601 2.507 4.601
6.695 4.601 4.601
2.507 4.601 4.601
4.601 6.695 4.601
4.601 4.601 6.695
```

No. 6
KNa2MoF6: calculated powder diffraction line list (Cu Kα X-rays), based on a crystal structure in the Materials Project, relaxed with GGA+U.
Kinematic intensities with the Lorentz-polarization factor, no thermal factor.

Largest 10 diffraction maxima, by intensity, 10 to 90 degrees two-theta:
2θ = 27.82°, d 3.206, intensity 100
2θ = 19.58°, d 4.535, intensity 95
2θ = 39.76°, d 2.267, intensity 73
2θ = 16.93°, d 5.236, intensity 53
2θ = 57.48°, d 1.603, intensity 41
2θ = 49.22°, d 1.851, intensity 37
2θ = 44.69°, d 2.028, intensity 35
2θ = 79.01°, d 1.212, intensity 20
2θ = 65.04°, d 1.434, intensity 19
2θ = 32.75°, d 2.734, intensity 15

Cell and atoms:
```
KNa2MoF6
1.0
0.000 4.535 4.535
4.535 0.000 4.535
4.535 4.535 0.000
K Na Mo F
1 2 1 6
Cartesian
0.000 0.000 0.000
2.267 2.267 2.267
6.802 6.802 6.802
4.535 4.535 4.535
4.535 4.535 2.471
4.535 2.471 4.535
6.599 4.535 4.535
2.471 4.535 4.535
4.535 6.599 4.535
4.535 4.535 6.599
```